# CrFeS2
Simulated powder X-ray diffraction pattern, Cu Ka. Input: the PBE geometry in the Materials Project.

Crystal structure
Cell: 3.2933 3.2933 5.3159 Å, 90.00 90.00 120.00°
Space group P-3m1 (No. 164)
Inequivalent atoms, fractional coordinates:
Cr 0.0000 0.0000 0.0000
Fe 0.0000 0.0000 0.5000
S 0.3333 0.6667 0.7363

Peak list (8 most intense, 2θ from 15° to 90°, in order of rising 2θ)
2θ (°)	Rel. int.	h k l
31.36	49.5	1 0 0
35.73	34.6	0 1 1
46.71	100.0	0 1 2
55.83	41.7	1 1 0
61.62	6.1	1 0 3
70.91	6.2	0 0 4
75.68	21.0	2 0 2
79.58	5.8	1 0 4